No. 1
# RbTaPb2
Theoretical PXRD pattern, Cu Ka. Input: a cell relaxed with PBE.
No peak broadening, texture or thermal motion is included.

Atomic structure:
Cell lengths 6.8941, 6.8941, 16.6886 Å; angles 90.00, 90.00, 90.00 degrees
Space group I-42d (No. 122)
Asymmetric unit:
Rb  0.0000  0.0000  0.0000 (multiplicity 4)
Ta  0.0000  0.0000  0.5000 (multiplicity 4)
Pb  0.0359  0.2500  0.6250 (multiplicity 8)

The 12 most intense peaks (10 to 90 degrees two-theta), by angle:
| Position (°2θ) | intensity |
| --- | --- |
| 13.9 | 100.0 |
| 20.5 | 11.0 |
| 21.1 | 45.6 |
| 28.0 | 43.4 |
| 29.5 | 13.3 |
| 33.2 | 28.9 |
| 33.7 | 14.6 |
| 37.2 | 10.8 |
| 39.8 | 18.0 |
| 41.7 | 15.3 |
| 42.9 | 14.2 |
| 43.0 | 37.1 |


No. 2
# Rb2Te3Pb2
Theoretical PXRD pattern, Cu Ka. Input: a cell relaxed with PBE.
No peak broadening, texture or thermal motion is included.

Atomic structure:
Cell lengths 18.2958, 17.8899, 9.3903 Å; angles 90.00, 120.82, 90.00 degrees
Space group C2/c (No. 15)
Asymmetric unit:
Rb  0.0000  0.0662  0.2500 (multiplicity 4)
Rb  0.0000  0.2211  0.7500 (multiplicity 4)
Rb  0.1148  0.4179  0.0866 (multiplicity 8)
Te  0.1170  0.3880  0.7017 (multiplicity 8)
Te  0.1332  0.2236  0.2256 (multiplicity 8)
Te  0.1519  0.0750  0.7205 (multiplicity 8)
Pb  0.1749  0.2414  0.5978 (multiplicity 8)
Pb  0.1946  0.0809  0.1017 (multiplicity 8)

The 12 most intense peaks (10 to 90 degrees two-theta), by angle:
| Position (°2θ) | intensity |
| --- | --- |
| 11.3 | 36.4 |
| 17.6 | 68.0 |
| 18.9 | 36.9 |
| 21.0 | 46.1 |
| 22.6 | 22.5 |
| 27.9 | 36.9 |
| 28.8 | 71.7 |
| 29.6 | 35.2 |
| 30.0 | 50.9 |
| 32.3 | 100.0 |
| 34.3 | 25.1 |
| 38.8 | 23.3 |